# Hf4GaGe
Computed X-ray diffraction stick pattern, Cu Kα, 1.54184 Å. Input: DFT lattice parameters and positions (GGA-PBE).
Neutral-atom scattering factors, no anomalous dispersion.

Structure:
Unit cell a=6.6760 b=6.6760 c=5.2873 alpha=90.00 beta=90.00 gamma=90.00
Space group P4/mcc (No. 124)
Inequivalent atoms, fractional coordinates:
Hf: 0.1539 0.3457 0.0000 x8
Ga: 0.0000 0.0000 0.2500 x2
Ge: 0.5000 0.5000 0.2500 x2

Largest 10 diffraction maxima, most intense first, 2θ from 15° to 90°:
hkl	2θ (°)	intensity
2 1 1	34.5	100
3 1 0	42.8	27
2 1 3	61.1	20
1 1 2	39.1	17
3 3 2	69.5	15
2 0 2	43.7	14
0 0 2	33.9	14
5 2 1	79.4	13
4 0 2	66.2	12
4 1 1	59.7	11


# Ho4Ga2Ge
Computed X-ray diffraction stick pattern, Cu Kα, 1.54184 Å. Input: DFT lattice parameters and positions (GGA-PBE).
Neutral-atom scattering factors, no anomalous dispersion.

Structure:
Unit cell a=7.8568 b=7.8702 c=7.8887 alpha=109.54 beta=109.29 gamma=109.38
Space group P-1 (No. 2)
Inequivalent atoms, fractional coordinates:
Ho: 0.1236 0.4391 0.1837 x2
Ho: 0.2553 0.9391 0.8155 x2
Ho: 0.3159 0.0608 0.3757 x2
Ho: 0.3158 0.4388 0.7557 x2
Ga: 0.0000 0.0000 0.0000 x1
Ga: 0.0000 0.0000 0.5000 x1
Ga: 0.0000 0.5000 0.5000 x1
Ga: 0.5000 0.5000 0.5000 x1
Ge: 0.3749 0.7496 0.1246 x2

Largest 10 diffraction maxima, most intense first, 2θ from 15° to 90°:
hkl	2θ (°)	intensity
2 -1 1	31.0	100
2 -2 1	31.1	80
0 2 0	27.7	74
2 0 -2	27.8	57
0 3 -1	37.0	53
2 2 -2	39.7	40
0 2 1	36.9	37
1 -4 1	46.9	29
1 2 1	46.7	29
1 -4 3	51.1	27


# Ho2GaGe2
Computed X-ray diffraction stick pattern, Cu Kα, 1.54184 Å. Input: DFT lattice parameters and positions (GGA-PBE).
Neutral-atom scattering factors, no anomalous dispersion.

Structure:
Unit cell a=4.0432 b=6.2513 c=8.5087 alpha=90.00 beta=90.00 gamma=90.00
Space group Immm (No. 71)
Inequivalent atoms, fractional coordinates:
Ho: 0.0000 0.0000 0.2190 x4
Ga: 0.0000 0.5000 0.0000 x2
Ge: 0.0000 0.2918 0.5000 x4

Largest 10 diffraction maxima, most intense first, 2θ from 15° to 90°:
hkl	2θ (°)	intensity
1 1 2	33.8	100
0 2 2	35.6	32
1 2 1	37.9	31
1 1 0	26.3	25
2 0 0	44.8	22
1 2 5	66.7	18
2 2 0	54.0	17
0 2 0	28.6	16
0 0 4	42.5	16
2 2 2	58.5	16


# Ho4GaGe2
Computed X-ray diffraction stick pattern, Cu Kα, 1.54184 Å. Input: DFT lattice parameters and positions (GGA-PBE).
Neutral-atom scattering factors, no anomalous dispersion.

Structure:
Unit cell a=8.8227 b=8.8227 c=8.8134 alpha=90.00 beta=90.00 gamma=90.00
Space group I-42d (No. 122)
Inequivalent atoms, fractional coordinates:
Ho: 0.0679 0.1813 0.3089 x16
Ga: 0.0000 0.0000 0.0000 x4
Ge: 0.1276 0.2500 0.6250 x8

Largest 10 diffraction maxima, most intense first, 2θ from 15° to 90°:
hkl	2θ (°)	intensity
3 0 1	32.1	100
3 2 1	38.2	63
3 1 4	52.9	35
1 1 6	65.2	22
2 2 4	50.7	20
2 0 2	28.6	16
1 1 2	24.7	15
4 1 5	69.0	15
2 1 7	79.9	14
6 0 2	67.1	12